# Si3N4
Theoretical PXRD pattern, copper Kα. Input: DFT lattice parameters and positions (PBE).

Top 6 peaks for 2θ from 10° to 80°, sorted by position:
13.79 deg, d 6.422, I = 100; 19.82 deg, d 4.479, I = 97; 31.84 deg, d 2.810, I = 45; 37.04 deg, d 2.427, I = 65; 39.84 deg, d 2.263, I = 53; 57.83 deg, d 1.594, I = 37

Atomic structure:
Cell: 7.415 7.415 6.251 Å, 90.00 90.00 120.00°
Positions (direct):
Si (0.064, 0.827, 0.000)
Si (0.110, 0.489, 0.721)
Si (0.173, 0.237, 0.000)
Si (0.237, 0.173, 0.500)
Si (0.380, 0.890, 0.721)
Si (0.489, 0.110, 0.221)
Si (0.511, 0.620, 0.721)
Si (0.620, 0.511, 0.221)
Si (0.763, 0.936, 0.000)
Si (0.827, 0.064, 0.500)
Si (0.890, 0.380, 0.221)
Si (0.936, 0.763, 0.500)
N (0.000, 0.000, 0.150)
N (0.000, 0.000, 0.353)
N (0.000, 0.000, 0.650)
N (0.000, 0.000, 0.853)
N (0.040, 0.380, 0.989)
N (0.051, 0.696, 0.727)
N (0.304, 0.355, 0.727)
N (0.340, 0.960, 0.989)
N (0.355, 0.304, 0.227)
N (0.380, 0.040, 0.489)
N (0.620, 0.660, 0.989)
N (0.645, 0.949, 0.727)
N (0.660, 0.620, 0.489)
N (0.696, 0.051, 0.227)
N (0.949, 0.645, 0.227)
N (0.960, 0.340, 0.489)

# Si2Sn5N6
Theoretical PXRD pattern, copper Kα. Input: DFT lattice parameters and positions (PBE).

Top 6 peaks for 2θ from 10° to 80°, sorted by position:
17.52 deg, d 5.062, I = 22; 20.69 deg, d 4.293, I = 60; 25.55 deg, d 3.487, I = 50; 29.62 deg, d 3.016, I = 100; 32.94 deg, d 2.719, I = 34; 37.59 deg, d 2.393, I = 24

Atomic structure:
Cell: 5.609 5.609 15.613 Å, 96.57 96.57 88.39°
Positions (direct):
Si (0.054, 0.417, 0.069)
Si (0.417, 0.054, 0.569)
Si (0.583, 0.946, 0.431)
Si (0.946, 0.583, 0.931)
Sn (0.117, 0.707, 0.453)
Sn (0.146, 0.181, 0.351)
Sn (0.181, 0.146, 0.851)
Sn (0.293, 0.883, 0.047)
Sn (0.448, 0.552, 0.250)
Sn (0.552, 0.448, 0.750)
Sn (0.707, 0.117, 0.953)
Sn (0.819, 0.854, 0.149)
Sn (0.854, 0.819, 0.649)
Sn (0.883, 0.293, 0.547)
N (0.017, 0.872, 0.915)
N (0.128, 0.983, 0.585)
N (0.172, 0.636, 0.151)
N (0.201, 0.418, 0.974)
N (0.364, 0.828, 0.349)
N (0.418, 0.201, 0.474)
N (0.582, 0.799, 0.526)
N (0.636, 0.172, 0.651)
N (0.799, 0.582, 0.026)
N (0.828, 0.364, 0.849)
N (0.872, 0.017, 0.415)
N (0.983, 0.128, 0.085)

# Sr11Si2N10
Theoretical PXRD pattern, copper Kα. Input: DFT lattice parameters and positions (PBE).

Top 6 peaks for 2θ from 10° to 80°, sorted by position:
27.87 deg, d 3.201, I = 68; 28.39 deg, d 3.143, I = 91; 30.59 deg, d 2.922, I = 100; 31.57 deg, d 2.834, I = 43; 33.10 deg, d 2.706, I = 35; 46.40 deg, d 1.957, I = 37

Atomic structure:
Cell: 16.031 16.031 3.877 Å, 90.00 90.00 90.00°
Positions (direct):
Sr (0.000, 0.000, 0.000)
Sr (0.020, 0.203, 0.500)
Sr (0.103, 0.622, 0.500)
Sr (0.122, 0.397, 0.000)
Sr (0.165, 0.835, 0.000)
Sr (0.203, 0.020, 0.500)
Sr (0.297, 0.520, 0.000)
Sr (0.335, 0.335, 0.500)
Sr (0.378, 0.897, 0.500)
Sr (0.397, 0.122, 0.000)
Sr (0.480, 0.703, 0.000)
Sr (0.500, 0.500, 0.500)
Sr (0.520, 0.297, 0.000)
Sr (0.603, 0.878, 0.000)
Sr (0.622, 0.103, 0.500)
Sr (0.665, 0.665, 0.500)
Sr (0.703, 0.480, 0.000)
Sr (0.797, 0.980, 0.500)
Sr (0.835, 0.165, 0.000)
Sr (0.878, 0.603, 0.000)
Sr (0.897, 0.378, 0.500)
Sr (0.980, 0.797, 0.500)
Si (0.189, 0.189, 0.000)
Si (0.311, 0.689, 0.500)
Si (0.689, 0.311, 0.500)
Si (0.811, 0.811, 0.000)
N (0.020, 0.688, 0.000)
N (0.088, 0.912, 0.500)
N (0.117, 0.117, 0.000)
N (0.188, 0.480, 0.500)
N (0.240, 0.760, 0.500)
N (0.260, 0.260, 0.000)
N (0.312, 0.980, 0.000)
N (0.383, 0.617, 0.500)
N (0.412, 0.412, 0.000)
N (0.480, 0.188, 0.500)
N (0.520, 0.812, 0.500)
N (0.588, 0.588, 0.000)
N (0.617, 0.383, 0.500)
N (0.688, 0.020, 0.000)
N (0.740, 0.740, 0.000)
N (0.760, 0.240, 0.500)
N (0.812, 0.520, 0.500)
N (0.883, 0.883, 0.000)
N (0.912, 0.088, 0.500)
N (0.980, 0.312, 0.000)

# Sr7SiN6
Theoretical PXRD pattern, copper Kα. Input: DFT lattice parameters and positions (PBE).

Top 6 peaks for 2θ from 10° to 80°, sorted by position:
28.86 deg, d 3.093, I = 31; 30.24 deg, d 2.956, I = 100; 30.80 deg, d 2.903, I = 23; 33.86 deg, d 2.648, I = 25; 34.37 deg, d 2.609, I = 65; 53.26 deg, d 1.720, I = 24

Atomic structure:
Cell: 11.612 6.601 13.745 Å, 90.00 90.00 90.00°
Positions (direct):
Sr (0.000, 0.058, 0.250)
Sr (0.000, 0.942, 0.750)
Sr (0.039, 0.239, 0.519)
Sr (0.039, 0.761, 0.019)
Sr (0.207, 0.387, 0.127)
Sr (0.207, 0.613, 0.627)
Sr (0.221, 0.358, 0.875)
Sr (0.221, 0.642, 0.375)
Sr (0.279, 0.142, 0.375)
Sr (0.279, 0.858, 0.875)
Sr (0.293, 0.113, 0.627)
Sr (0.293, 0.887, 0.127)
Sr (0.461, 0.261, 0.019)
Sr (0.461, 0.739, 0.519)
Sr (0.500, 0.442, 0.750)
Sr (0.500, 0.558, 0.250)
Sr (0.539, 0.261, 0.481)
Sr (0.539, 0.739, 0.981)
Sr (0.707, 0.113, 0.873)
Sr (0.707, 0.887, 0.373)
Sr (0.721, 0.142, 0.125)
Sr (0.721, 0.858, 0.625)
Sr (0.779, 0.358, 0.625)
Sr (0.779, 0.642, 0.125)
Sr (0.793, 0.387, 0.373)
Sr (0.793, 0.613, 0.873)
Sr (0.961, 0.239, 0.981)
Sr (0.961, 0.761, 0.481)
Si (0.000, 0.429, 0.750)
Si (0.000, 0.571, 0.250)
Si (0.500, 0.071, 0.250)
Si (0.500, 0.929, 0.750)
N (0.041, 0.413, 0.351)
N (0.041, 0.587, 0.851)
N (0.119, 0.269, 0.711)
N (0.119, 0.731, 0.211)
N (0.166, 0.094, 0.000)
N (0.166, 0.906, 0.500)
N (0.334, 0.406, 0.500)
N (0.334, 0.594, 0.000)
N (0.381, 0.231, 0.211)
N (0.381, 0.769, 0.711)
N (0.459, 0.087, 0.851)
N (0.459, 0.913, 0.351)
N (0.541, 0.087, 0.649)
N (0.541, 0.913, 0.149)
N (0.619, 0.231, 0.289)
N (0.619, 0.769, 0.789)
N (0.666, 0.406, 0.000)
N (0.666, 0.594, 0.500)
N (0.834, 0.094, 0.500)
N (0.834, 0.906, 0.000)
N (0.881, 0.269, 0.789)
N (0.881, 0.731, 0.289)
N (0.959, 0.413, 0.149)
N (0.959, 0.587, 0.649)

Please write out number 3 again, unchanged.
# Sr11Si2N10
Theoretical PXRD pattern, copper Kα. Input: DFT lattice parameters and positions (PBE).

Top 6 peaks for 2θ from 10° to 80°, sorted by position:
27.87 deg, d 3.201, I = 68; 28.39 deg, d 3.143, I = 91; 30.59 deg, d 2.922, I = 100; 31.57 deg, d 2.834, I = 43; 33.10 deg, d 2.706, I = 35; 46.40 deg, d 1.957, I = 37

Atomic structure:
Cell: 16.031 16.031 3.877 Å, 90.00 90.00 90.00°
Positions (direct):
Sr (0.000, 0.000, 0.000)
Sr (0.020, 0.203, 0.500)
Sr (0.103, 0.622, 0.500)
Sr (0.122, 0.397, 0.000)
Sr (0.165, 0.835, 0.000)
Sr (0.203, 0.020, 0.500)
Sr (0.297, 0.520, 0.000)
Sr (0.335, 0.335, 0.500)
Sr (0.378, 0.897, 0.500)
Sr (0.397, 0.122, 0.000)
Sr (0.480, 0.703, 0.000)
Sr (0.500, 0.500, 0.500)
Sr (0.520, 0.297, 0.000)
Sr (0.603, 0.878, 0.000)
Sr (0.622, 0.103, 0.500)
Sr (0.665, 0.665, 0.500)
Sr (0.703, 0.480, 0.000)
Sr (0.797, 0.980, 0.500)
Sr (0.835, 0.165, 0.000)
Sr (0.878, 0.603, 0.000)
Sr (0.897, 0.378, 0.500)
Sr (0.980, 0.797, 0.500)
Si (0.189, 0.189, 0.000)
Si (0.311, 0.689, 0.500)
Si (0.689, 0.311, 0.500)
Si (0.811, 0.811, 0.000)
N (0.020, 0.688, 0.000)
N (0.088, 0.912, 0.500)
N (0.117, 0.117, 0.000)
N (0.188, 0.480, 0.500)
N (0.240, 0.760, 0.500)
N (0.260, 0.260, 0.000)
N (0.312, 0.980, 0.000)
N (0.383, 0.617, 0.500)
N (0.412, 0.412, 0.000)
N (0.480, 0.188, 0.500)
N (0.520, 0.812, 0.500)
N (0.588, 0.588, 0.000)
N (0.617, 0.383, 0.500)
N (0.688, 0.020, 0.000)
N (0.740, 0.740, 0.000)
N (0.760, 0.240, 0.500)
N (0.812, 0.520, 0.500)
N (0.883, 0.883, 0.000)
N (0.912, 0.088, 0.500)
N (0.980, 0.312, 0.000)

What did the fourth record say?
# Sr7SiN6
Theoretical PXRD pattern, copper Kα. Input: DFT lattice parameters and positions (PBE).

Top 6 peaks for 2θ from 10° to 80°, sorted by position:
28.86 deg, d 3.093, I = 31; 30.24 deg, d 2.956, I = 100; 30.80 deg, d 2.903, I = 23; 33.86 deg, d 2.648, I = 25; 34.37 deg, d 2.609, I = 65; 53.26 deg, d 1.720, I = 24

Atomic structure:
Cell: 11.612 6.601 13.745 Å, 90.00 90.00 90.00°
Positions (direct):
Sr (0.000, 0.058, 0.250)
Sr (0.000, 0.942, 0.750)
Sr (0.039, 0.239, 0.519)
Sr (0.039, 0.761, 0.019)
Sr (0.207, 0.387, 0.127)
Sr (0.207, 0.613, 0.627)
Sr (0.221, 0.358, 0.875)
Sr (0.221, 0.642, 0.375)
Sr (0.279, 0.142, 0.375)
Sr (0.279, 0.858, 0.875)
Sr (0.293, 0.113, 0.627)
Sr (0.293, 0.887, 0.127)
Sr (0.461, 0.261, 0.019)
Sr (0.461, 0.739, 0.519)
Sr (0.500, 0.442, 0.750)
Sr (0.500, 0.558, 0.250)
Sr (0.539, 0.261, 0.481)
Sr (0.539, 0.739, 0.981)
Sr (0.707, 0.113, 0.873)
Sr (0.707, 0.887, 0.373)
Sr (0.721, 0.142, 0.125)
Sr (0.721, 0.858, 0.625)
Sr (0.779, 0.358, 0.625)
Sr (0.779, 0.642, 0.125)
Sr (0.793, 0.387, 0.373)
Sr (0.793, 0.613, 0.873)
Sr (0.961, 0.239, 0.981)
Sr (0.961, 0.761, 0.481)
Si (0.000, 0.429, 0.750)
Si (0.000, 0.571, 0.250)
Si (0.500, 0.071, 0.250)
Si (0.500, 0.929, 0.750)
N (0.041, 0.413, 0.351)
N (0.041, 0.587, 0.851)
N (0.119, 0.269, 0.711)
N (0.119, 0.731, 0.211)
N (0.166, 0.094, 0.000)
N (0.166, 0.906, 0.500)
N (0.334, 0.406, 0.500)
N (0.334, 0.594, 0.000)
N (0.381, 0.231, 0.211)
N (0.381, 0.769, 0.711)
N (0.459, 0.087, 0.851)
N (0.459, 0.913, 0.351)
N (0.541, 0.087, 0.649)
N (0.541, 0.913, 0.149)
N (0.619, 0.231, 0.289)
N (0.619, 0.769, 0.789)
N (0.666, 0.406, 0.000)
N (0.666, 0.594, 0.500)
N (0.834, 0.094, 0.500)
N (0.834, 0.906, 0.000)
N (0.881, 0.269, 0.789)
N (0.881, 0.731, 0.289)
N (0.959, 0.413, 0.149)
N (0.959, 0.587, 0.649)